Li3MnCo2O6: computed PXRD pattern (Cu Ka), based on the GGA+U geometry in Alexandria.
Neutral-atom scattering factors, no anomalous dispersion.

Peak list (6 most intense, 10° ≤ 2θ ≤ 80°, low angle first)
| 2θ (°) | intensity |
| --- | --- |
| 18.17 | 100 |
| 35.88 | 28 |
| 43.12 | 25 |
| 43.43 | 51 |
| 62.38 | 14 |
| 63.35 | 20 |

Crystal structure
```
12
Lattice="7.6332 -1.4673 0.0000 7.6332 1.4673 0.0000 -1.7389 0.0000 4.8820" Properties=species:S:1:pos:R:3 pbc="T T T"
Li 0.0000 0.0000 0.0000
Li 3.3294 0.0000 4.8371
Li 8.2793 0.0000 4.8531
Mn 11.8394 0.0000 2.3833
Co 1.5972 0.0000 2.4655
Co 6.8561 0.0000 2.4057
O -0.1263 0.0000 3.6423
O 3.4657 0.0000 1.3116
O 4.9793 0.0000 3.4430
O 8.3556 0.0000 1.2584
O 10.2572 0.0000 3.4880
O 13.4772 0.0000 1.3333
```